Simulated X-ray diffraction stick pattern
Compound: Tl2Cd9Hg3
Radiation: Cu Kα X-rays
Structure: DFT lattice parameters and positions (PBE)
Intensities are scaled so that the largest is 100.

Largest 6 diffraction maxima, in order of rising 2θ, 10° ≤ 2θ ≤ 90°:
2theta  intensity
26.36  32
32.30  43
32.41  100
35.51  99
35.80  40
39.43  56

Unit cell a=15.050 b=8.776 c=10.725 alpha=90.00 beta=90.00 gamma=90.00
Space group Cmcm (No. 63)
Asymmetric unit:
Tl (0.160, 0.166, 0.250)
Cd (0.000, 0.138, 0.750)
Cd (0.000, 0.330, 0.072)
Cd (0.101, 0.444, 0.750)
Cd (0.169, 0.169, 0.589)
Hg (0.000, 0.000, 0.000)
Hg (0.174, 0.500, 0.000)